# Hf3ZnCo8
Computed X-ray powder pattern, Cu Ka. Input: a DFT-relaxed cell (GGA-PBE, OQMD).
Lines closer than 0.1° are merged.

Structural model:
```
data_Hf3ZnCo8
_cell_length_a 4.7884
_cell_length_b 4.7884
_cell_length_c 23.4933
_cell_angle_alpha 90.00
_cell_angle_beta 90.00
_cell_angle_gamma 120.00
_symmetry_space_group_name_H-M 'R 3 m'
_symmetry_Int_Tables_number 160
_symmetry_space_group_name_Hall 'R 3 -2"'
loop_
_atom_site_label
_atom_site_type_symbol
_atom_site_fract_x
_atom_site_fract_y
_atom_site_fract_z
Hf1 Hf 0.0000 0.0000 0.0000
Hf2 Hf 0.0000 0.0000 0.1284
Hf3 Hf 0.0000 0.0000 0.6167
Zn1 Zn 0.0000 0.0000 0.4955
Co1 Co 0.0000 0.0000 0.3112
Co2 Co 0.0000 0.0000 0.8115
Co3 Co 0.0016 0.5008 0.0611
Co4 Co 0.0033 0.5016 0.5609
```

Largest 10 diffraction maxima, low angle first, 2θ = 5–70°:
hkl 1 0 1, 2θ 21.8, I 3.3; hkl 0 1 2, 2θ 22.7, I 14.1; hkl 0 1 5, 2θ 28.7, I 4.1; hkl 1 0 7, 2θ 34.4, I 4.7; hkl 1 1 0, 2θ 37.5, I 63.2; hkl 2 0 2, 2θ 44.3, I 100.0; hkl 0 2 4, 2θ 46.4, I 16.4; hkl 1 2 2, 2θ 59.5, I 3.4; hkl 1 2 8, 2θ 67.7, I 15.5; hkl 3 0 0, 2θ 67.8, I 5.8